No. 1
This entry pairs a crystal structure of FeHO2 with its theoretical powder XRD pattern. Radiation: Cu Kα (weighted mean of Kα1 and Kα2). Structure: DFT lattice parameters and positions (PBE+U).
No peak broadening, texture or thermal motion is included.

Cell lengths 3.0601, 4.4845, 5.0432 Å; angles 90.00, 90.00, 90.00 degrees
Sites, in units of the cell vectors:
Fe 0.0000 0.2230 0.0000
Fe 0.5000 0.7770 0.5000
H 0.0000 0.3139 0.4813
H 0.5000 0.6861 0.9813
O 0.0000 0.0102 0.6514
O 0.0000 0.4944 0.3582
O 0.5000 0.5056 0.8582
O 0.5000 0.9898 0.1514

Largest 12 diffraction maxima, in order of rising 2θ, 10° ≤ 2θ ≤ 90°:
2θ 26.60, intensity 100
2θ 34.28, intensity 23
2θ 35.54, intensity 75
2θ 39.89, intensity 16
2θ 41.07, intensity 10
2θ 51.17, intensity 33
2θ 53.85, intensity 43
2θ 54.79, intensity 16
2θ 58.65, intensity 11
2θ 60.51, intensity 11
2θ 63.10, intensity 17
2θ 67.27, intensity 13

---

No. 2
This entry pairs a crystal structure of FeHO2 with its theoretical powder XRD pattern. Radiation: Cu Kα (weighted mean of Kα1 and Kα2). Structure: DFT lattice parameters and positions (PBE+U).
No peak broadening, texture or thermal motion is included.

Cell lengths 3.0731, 4.6516, 10.1177 Å; angles 90.00, 90.00, 90.00 degrees
Sites, in units of the cell vectors:
Fe 0.2430 0.2083 0.3551
Fe 0.2570 0.7917 0.8551
Fe 0.7430 0.2917 0.6449
Fe 0.7570 0.7083 0.1449
H 0.2319 0.8426 0.5836
H 0.2681 0.1574 0.0836
H 0.7319 0.6574 0.4164
H 0.7681 0.3426 0.9164
O 0.2398 0.0480 0.5540
O 0.2433 0.5420 0.6951
O 0.2567 0.4580 0.1951
O 0.2602 0.9520 0.0540
O 0.7398 0.4520 0.4460
O 0.7433 0.9580 0.3049
O 0.7567 0.0420 0.8049
O 0.7602 0.5480 0.9460

Largest 12 diffraction maxima, in order of rising 2θ, 10° ≤ 2θ ≤ 90°:
2θ 21.02, intensity 100
2θ 32.80, intensity 48
2θ 34.14, intensity 25
2θ 35.49, intensity 19
2θ 36.14, intensity 80
2θ 39.40, intensity 12
2θ 40.60, intensity 18
2θ 52.56, intensity 46
2θ 53.52, intensity 13
2θ 58.07, intensity 29
2θ 60.23, intensity 13
2θ 62.86, intensity 14

---

No. 3
This entry pairs a crystal structure of FeHO2 with its theoretical powder XRD pattern. Radiation: Cu Kα (weighted mean of Kα1 and Kα2). Structure: DFT lattice parameters and positions (PBE+U).
No peak broadening, texture or thermal motion is included.

Cell lengths 3.0552, 9.7408, 4.9630 Å; angles 90.00, 91.17, 90.00 degrees
Sites, in units of the cell vectors:
Fe 0.0059 0.0000 0.1908
Fe 0.4885 0.3052 0.2967
Fe 0.5115 0.8052 0.7033
Fe 0.9941 0.5000 0.8092
H 0.0348 0.7336 0.1498
H 0.4881 0.5592 0.2851
H 0.5119 0.0592 0.7149
H 0.9652 0.2336 0.8502
O 0.0033 0.8563 0.4713
O 0.0229 0.7848 0.9800
O 0.4869 0.5040 0.1152
O 0.4954 0.6003 0.6322
O 0.5046 0.1003 0.3678
O 0.5131 0.0040 0.8848
O 0.9771 0.2848 0.0200
O 0.9967 0.3563 0.5287

Largest 12 diffraction maxima, in order of rising 2θ, 10° ≤ 2θ ≤ 90°:
2θ 18.21, intensity 29
2θ 20.08, intensity 100
2θ 32.97, intensity 49
2θ 34.66, intensity 20
2θ 35.41, intensity 46
2θ 36.04, intensity 49
2θ 36.91, intensity 29
2θ 47.71, intensity 21
2θ 50.52, intensity 18
2θ 51.47, intensity 21
2θ 59.02, intensity 26
2θ 59.47, intensity 17

---

No. 4
This entry pairs a crystal structure of FeHO2 with its theoretical powder XRD pattern. Radiation: Cu Kα (weighted mean of Kα1 and Kα2). Structure: DFT lattice parameters and positions (PBE+U).
No peak broadening, texture or thermal motion is included.

Cell lengths 7.6684, 7.6684, 4.0500 Å; angles 90.00, 90.00, 160.21 degrees
Sites, in units of the cell vectors:
Fe 0.1875 0.8125 0.5000
Fe 0.8125 0.1875 0.0000
H 0.0563 0.9437 0.4798
H 0.9437 0.0563 0.9798
O 0.2134 0.7866 0.9987
O 0.4174 0.5826 0.9880
O 0.5826 0.4174 0.4880
O 0.7866 0.2134 0.4987

Largest 12 diffraction maxima, in order of rising 2θ, 10° ≤ 2θ ≤ 90°:
2θ 11.71, intensity 100
2θ 24.95, intensity 38
2θ 32.41, intensity 7
2θ 38.56, intensity 19
2θ 41.31, intensity 7
2θ 44.77, intensity 16
2θ 45.68, intensity 18
2θ 46.42, intensity 6
2θ 48.18, intensity 6
2θ 59.92, intensity 8
2θ 60.52, intensity 9
2θ 65.87, intensity 10

---

- Which formula does entry 2 have?
  FeHO2